This entry pairs a crystal structure of Hg3P with its simulated powder diffractogram. Radiation: Cu Kα, 1.54184 Å. Structure: a DFT-relaxed cell (PBE, the Materials Project).
Lines closer than 0.1° are merged.

Top 10 peaks for 2θ from 10° to 90°, sorted by position:
21.46°, I = 160
24.83°, I = 86
35.40°, I = 1000
41.77°, I = 93
50.93°, I = 180
55.87°, I = 41
57.46°, I = 37
63.54°, I = 373
74.89°, I = 118
85.65°, I = 173

a = 5.0718 Å, b = 5.0718 Å, c = 5.0718 Å
α = 60.00°, β = 60.00°, γ = 60.00°
Fractional coordinates of all 4 atoms:
Hg  0.0000  0.0000  0.0000
Hg  0.2500  0.2500  0.2500
Hg  0.7500  0.7500  0.7500
P  0.5000  0.5000  0.5000

---

This entry pairs a crystal structure of HgPPd5 with its simulated powder diffractogram. Radiation: Cu Kα, 1.54184 Å. Structure: a DFT-relaxed cell (PBE, the Materials Project).
Lines closer than 0.1° are merged.

Top 10 peaks for 2θ from 10° to 90°, sorted by position:
12.50°, I = 151
34.18°, I = 636
38.12°, I = 277
40.87°, I = 1000
45.41°, I = 479
60.74°, I = 281
66.17°, I = 154
75.02°, I = 180
79.01°, I = 131
80.78°, I = 272

a = 3.9944 Å, b = 3.9944 Å, c = 7.0819 Å
α = 90.00°, β = 90.00°, γ = 90.00°
Fractional coordinates of all 7 atoms:
Hg  0.0000  0.0000  0.0000
P  0.5000  0.5000  0.5000
Pd  0.0000  0.5000  0.3037
Pd  0.0000  0.5000  0.6963
Pd  0.5000  0.0000  0.3037
Pd  0.5000  0.0000  0.6963
Pd  0.5000  0.5000  0.0000

---

This entry pairs a crystal structure of SiHgP2 with its simulated powder diffractogram. Radiation: Cu Kα, 1.54184 Å. Structure: a DFT-relaxed cell (PBE, the Materials Project).
Lines closer than 0.1° are merged.

Top 10 peaks for 2θ from 10° to 90°, sorted by position:
17.62°, I = 608
27.71°, I = 1000
29.57°, I = 253
31.36°, I = 191
36.20°, I = 306
43.64°, I = 141
44.94°, I = 188
46.59°, I = 351
53.62°, I = 317
56.50°, I = 138

a = 6.6935 Å, b = 6.6935 Å, c = 6.6935 Å
α = 129.55°, β = 129.55°, γ = 74.12°
Fractional coordinates of all 8 atoms:
Si  0.0000  0.0000  0.0000
Si  0.7500  0.2500  0.5000
Hg  0.2500  0.7500  0.5000
Hg  0.5000  0.5000  0.0000
P  0.0798  0.1250  0.4548
P  0.3750  0.9202  0.0452
P  0.6702  0.6250  0.5452
P  0.8750  0.3298  0.9548

---

This entry pairs a crystal structure of SiHgP2 with its simulated powder diffractogram. Radiation: Cu Kα, 1.54184 Å. Structure: a DFT-relaxed cell (PBE, the Materials Project).
Lines closer than 0.1° are merged.

Top 10 peaks for 2θ from 10° to 90°, sorted by position:
23.44°, I = 824
27.13°, I = 414
38.75°, I = 1000
45.79°, I = 450
55.96°, I = 170
61.50°, I = 190
63.27°, I = 170
70.14°, I = 350
75.10°, I = 144
87.88°, I = 153

a = 4.6476 Å, b = 4.6476 Å, c = 4.6476 Å
α = 60.00°, β = 60.00°, γ = 60.00°
Fractional coordinates of all 4 atoms:
Si  0.0000  0.0000  0.0000
Hg  0.5000  0.5000  0.5000
P  0.2500  0.2500  0.2500
P  0.7500  0.7500  0.7500

---

This entry pairs a crystal structure of Pa3Hg with its simulated powder diffractogram. Radiation: Cu Kα, 1.54184 Å. Structure: a DFT-relaxed cell (PBE, the Materials Project).
Lines closer than 0.1° are merged.

Top 6 peaks for 2θ from 10° to 90°, sorted by position:
33.53°, I = 1000
38.91°, I = 505
56.21°, I = 355
67.06°, I = 423
70.47°, I = 122
83.55°, I = 60

a = 4.6287 Å, b = 4.6287 Å, c = 4.6287 Å
α = 90.00°, β = 90.00°, γ = 90.00°
Fractional coordinates of all 4 atoms:
Pa  0.0000  0.0000  0.5000
Pa  0.0000  0.5000  0.0000
Pa  0.5000  0.0000  0.0000
Hg  0.5000  0.5000  0.5000

---

This entry pairs a crystal structure of PaHgTe2 with its simulated powder diffractogram. Radiation: Cu Kα, 1.54184 Å. Structure: a DFT-relaxed cell (PBE, the Materials Project).
Lines closer than 0.1° are merged.

Top 10 peaks for 2θ from 10° to 90°, sorted by position:
23.26°, I = 80
33.12°, I = 1000
40.87°, I = 27
47.55°, I = 184
53.58°, I = 39
59.17°, I = 385
69.51°, I = 120
74.41°, I = 20
79.19°, I = 168
88.57°, I = 44

a = 5.4091 Å, b = 5.4091 Å, c = 5.4091 Å
α = 60.00°, β = 60.00°, γ = 60.00°
Fractional coordinates of all 4 atoms:
Pa  0.0000  0.0000  0.0000
Hg  0.5000  0.5000  0.5000
Te  0.2500  0.2500  0.2500
Te  0.7500  0.7500  0.7500

---

This entry pairs a crystal structure of HgPb4 with its simulated powder diffractogram. Radiation: Cu Kα, 1.54184 Å. Structure: a DFT-relaxed cell (PBE, the Materials Project).
Lines closer than 0.1° are merged.

Top 10 peaks for 2θ from 10° to 90°, sorted by position:
30.89°, I = 326
31.08°, I = 1000
35.99°, I = 674
51.68°, I = 231
51.94°, I = 246
61.43°, I = 133
61.66°, I = 284
61.78°, I = 147
64.81°, I = 126
84.87°, I = 128

a = 14.6169 Å, b = 14.6169 Å, c = 14.6169 Å
α = 13.84°, β = 13.84°, γ = 13.84°
Fractional coordinates of all 5 atoms:
Hg  0.0000  0.0000  0.0000
Pb  0.2011  0.2011  0.2011
Pb  0.3967  0.3967  0.3967
Pb  0.6033  0.6033  0.6033
Pb  0.7989  0.7989  0.7989

---

This entry pairs a crystal structure of HgPb2 with its simulated powder diffractogram. Radiation: Cu Kα, 1.54184 Å. Structure: a DFT-relaxed cell (PBE, the Materials Project).
Lines closer than 0.1° are merged.

Top 10 peaks for 2θ from 10° to 90°, sorted by position:
30.48°, I = 540
31.42°, I = 1000
31.58°, I = 494
34.76°, I = 770
38.98°, I = 283
52.51°, I = 244
53.91°, I = 225
59.12°, I = 172
60.15°, I = 163
65.93°, I = 187

a = 3.5088 Å, b = 3.5088 Å, c = 8.5674 Å
α = 96.14°, β = 96.14°, γ = 61.99°
Fractional coordinates of all 3 atoms:
Hg  0.0000  0.0000  0.0000
Pb  0.3353  0.3353  0.6680
Pb  0.6647  0.6647  0.3320

---

This entry pairs a crystal structure of Hg3Pb with its simulated powder diffractogram. Radiation: Cu Kα, 1.54184 Å. Structure: a DFT-relaxed cell (PBE, the Materials Project).
Lines closer than 0.1° are merged.

Top 10 peaks for 2θ from 10° to 90°, sorted by position:
29.85°, I = 240
33.76°, I = 234
34.39°, I = 1000
45.68°, I = 153
52.99°, I = 198
60.79°, I = 199
64.32°, I = 223
64.72°, I = 164
84.84°, I = 82
88.33°, I = 150

a = 6.9122 Å, b = 6.9122 Å, c = 5.3105 Å
α = 90.00°, β = 90.00°, γ = 120.00°
Fractional coordinates of all 8 atoms:
Hg  0.1628  0.3255  0.2500
Hg  0.1628  0.8372  0.2500
Hg  0.3255  0.1628  0.7500
Hg  0.6745  0.8372  0.2500
Hg  0.8372  0.1628  0.7500
Hg  0.8372  0.6745  0.7500
Pb  0.3333  0.6667  0.7500
Pb  0.6667  0.3333  0.2500

---

This entry pairs a crystal structure of HgPb3 with its simulated powder diffractogram. Radiation: Cu Kα, 1.54184 Å. Structure: a DFT-relaxed cell (PBE, the Materials Project).
Lines closer than 0.1° are merged.

Top 10 peaks for 2θ from 10° to 90°, sorted by position:
31.19°, I = 576
32.85°, I = 1000
44.69°, I = 219
49.50°, I = 79
56.56°, I = 439
59.67°, I = 183
68.87°, I = 121
73.89°, I = 103
74.81°, I = 99
82.01°, I = 74

a = 4.0559 Å, b = 4.0559 Å, c = 7.3655 Å
α = 90.00°, β = 90.00°, γ = 90.00°
Fractional coordinates of all 4 atoms:
Hg  0.0000  0.0000  0.0000
Pb  0.0000  0.0000  0.5000
Pb  0.5000  0.5000  0.2399
Pb  0.5000  0.5000  0.7601